Calculated powder X-ray diffraction pattern of TePS4 for λ = 1.5418 Å (Cu Kα), from a cell relaxed with GGA-PBE.

Atomic structure:
```
data_TePS4
_chemical_formula_sum 'Te2 P2 S8'
_space_group_name_H-M_alt 'P 1'
_space_group_IT_number 1
_space_group_name_Hall 'P 1'
_cell_length_a 5.923
_cell_length_b 5.923
_cell_length_c 9.584
_cell_angle_alpha 90.00
_cell_angle_beta 90.00
_cell_angle_gamma 97.89
loop_
_atom_site_label
_atom_site_type_symbol
_atom_site_fract_x
_atom_site_fract_y
_atom_site_fract_z
_atom_site_occupancy
Te1 Te 0.238 0.762 0.750 1
Te2 Te 0.762 0.238 0.250 1
P1 P 0.101 0.101 0.000 1
P2 P 0.899 0.899 0.500 1
S1 S 0.150 0.765 0.017 1
S2 S 0.217 0.262 0.184 1
S3 S 0.235 0.850 0.483 1
S4 S 0.262 0.217 0.816 1
S5 S 0.738 0.783 0.316 1
S6 S 0.765 0.150 0.983 1
S7 S 0.783 0.738 0.684 1
S8 S 0.850 0.235 0.517 1
```

Main lines, low angle first (5° ≤ 2θ ≤ 70°):
| two_theta | intensity |
| --- | --- |
| 15.1 | 20 |
| 17.7 | 100 |
| 22.9 | 14 |
| 30.5 | 42 |
| 31.9 | 40 |
| 33.6 | 22 |
| 35.9 | 19 |
| 37.3 | 14 |
| 43.1 | 11 |
| 46.2 | 12 |